HoTmFe8B2: simulated powder diffractogram (CuKα), based on DFT lattice parameters and positions (PBE).
Peak positions follow from Bragg's law for the DFT cell and can differ from measured ones.

Cell and atoms:
Unit cell a=5.0333 b=5.0333 c=7.0169 alpha=90.00 beta=90.00 gamma=120.00
Positions (direct):
Ho 0.0000 0.0000 0.0000
Tm 0.0000 0.0000 0.5000
Fe 0.0000 0.5000 0.2861
Fe 0.0000 0.5000 0.7139
Fe 0.3333 0.6667 0.0000
Fe 0.5000 0.0000 0.2861
Fe 0.5000 0.0000 0.7139
Fe 0.5000 0.5000 0.2861
Fe 0.5000 0.5000 0.7139
Fe 0.6667 0.3333 0.0000
B 0.3333 0.6667 0.5000
B 0.6667 0.3333 0.5000

Largest 10 diffraction maxima, sorted by position, 2θ = 10–80°:
- 2θ = 20.37°, intensity 22, (1 0 0)
- 2θ = 32.77°, intensity 98, (1 0 2)
- 2θ = 35.68°, intensity 34, (1 1 0)
- 2θ = 41.43°, intensity 72, (2 0 0)
- 2θ = 44.29°, intensity 100, (1 1 2)
- 2θ = 62.26°, intensity 31, (2 1 2)
- 2θ = 64.78°, intensity 15, (1 1 4)
- 2θ = 68.68°, intensity 19, (2 0 4)
- 2θ = 70.10°, intensity 24, (3 0 2)
- 2θ = 75.56°, intensity 19, (2 2 0)